Er4TcPt: simulated powder diffractogram (Cu Kα), based on a structure optimized by DFT (GGA-PBE).
No peak broadening, texture or thermal motion is included.

Cell and atoms:
Unit cell a=7.4099 b=4.3028 c=18.2146 alpha=90.00 beta=90.00 gamma=90.00
Atoms (fractional coordinates):
Er: 0.0088 0.2500 0.0729
Er: 0.0704 0.2500 0.7806
Er: 0.0915 0.2500 0.3530
Er: 0.1488 0.2500 0.5428
Er: 0.3512 0.7500 0.0428
Er: 0.4085 0.7500 0.8530
Er: 0.4296 0.7500 0.2806
Er: 0.4912 0.7500 0.5729
Er: 0.5088 0.2500 0.4271
Er: 0.5704 0.2500 0.7194
Er: 0.5915 0.2500 0.1470
Er: 0.6488 0.2500 0.9572
Er: 0.8512 0.7500 0.4572
Er: 0.9085 0.7500 0.6470
Er: 0.9296 0.7500 0.2194
Er: 0.9912 0.7500 0.9271
Tc: 0.2503 0.2500 0.9382
Tc: 0.2497 0.7500 0.4382
Tc: 0.7503 0.2500 0.5618
Tc: 0.7497 0.7500 0.0618
Pt: 0.2229 0.2500 0.2048
Pt: 0.2771 0.7500 0.7048
Pt: 0.7229 0.2500 0.2952
Pt: 0.7771 0.7500 0.7952

Peak list (10 most intense, 2θ = 15–90°, in order of rising 2θ)
| d_spacing | 2θ (°) | Rel. int. |
| --- | --- | --- |
| 2.881 | 31.0 | 84 |
| 2.808 | 31.9 | 79 |
| 2.780 | 32.2 | 35 |
| 2.599 | 34.5 | 37 |
| 2.548 | 35.2 | 100 |
| 2.455 | 36.6 | 33 |
| 2.171 | 41.6 | 32 |
| 2.151 | 42.0 | 52 |
| 2.132 | 42.4 | 34 |
| 1.617 | 56.9 | 27 |

***

Ca5In2: simulated powder diffractogram (Cu Kα), based on a structure optimized by DFT (GGA-PBE).
No peak broadening, texture or thermal motion is included.

Cell and atoms:
Unit cell a=9.7036 b=9.7036 c=9.7036 alpha=131.12 beta=67.59 gamma=136.34
Atoms (fractional coordinates):
Ca: 0.0169 0.2500 0.7669
Ca: 0.0832 0.6512 0.7344
Ca: 0.2500 0.2500 0.0000
Ca: 0.4168 0.1512 0.5680
Ca: 0.4831 0.2500 0.2331
Ca: 0.5169 0.7500 0.7669
Ca: 0.5832 0.8488 0.4320
Ca: 0.7500 0.7500 0.0000
Ca: 0.9168 0.3488 0.2656
Ca: 0.9831 0.7500 0.2331
In: 0.1232 0.2558 0.3791
In: 0.3768 0.7558 0.1326
In: 0.6232 0.2442 0.8674
In: 0.8768 0.7442 0.6209

Peak list (10 most intense, 2θ = 15–90°, in order of rising 2θ)
| d_spacing | 2θ (°) | Rel. int. |
| --- | --- | --- |
| 4.468 | 19.9 | 69 |
| 4.025 | 22.1 | 18 |
| 3.224 | 27.7 | 13 |
| 2.845 | 31.4 | 50 |
| 2.686 | 33.4 | 100 |
| 2.403 | 37.4 | 25 |
| 2.396 | 37.5 | 29 |
| 1.612 | 57.1 | 13 |
| 1.608 | 57.3 | 13 |
| 1.524 | 60.8 | 14 |